No. 1
Diffraction record for Li4Cu3TeO8. The X-ray powder pattern is theoretical, not measured: it uses a structure optimized by DFT (PBE) and Cu Kα X-rays.
Lines closer than 0.1° are merged.

Principal peaks in the range 5 to 70 degrees two-theta, low angle first:
Position (°2θ)  I (rel.)
17.77  137
18.44  1000
20.75  68
34.29  553
35.99  264
37.38  83
42.22  718
46.43  202
56.47  153
60.28  218
62.18  190
63.62  190

Structure:
abc: 5.9764 5.9764 5.9764
angles: 61.83 61.83 61.83
Sites, in units of the cell vectors:
1 Li 0.0000 0.0000 0.0000
2 Li 0.0000 0.5000 0.5000
3 Li 0.5000 0.0000 0.5000
4 Li 0.5000 0.5000 0.0000
5 Cu 0.0000 0.0000 0.5000
6 Cu 0.0000 0.5000 0.0000
7 Cu 0.5000 0.0000 0.0000
8 Te 0.5000 0.5000 0.5000
9 O 0.2283 0.2283 0.2283
10 O 0.2703 0.2703 0.7150
11 O 0.2703 0.7150 0.2703
12 O 0.2850 0.7297 0.7297
13 O 0.7150 0.2703 0.2703
14 O 0.7297 0.2850 0.7297
15 O 0.7297 0.7297 0.2850
16 O 0.7717 0.7717 0.7717


No. 2
Diffraction record for LiCuTeO4. The X-ray powder pattern is theoretical, not measured: it uses a structure optimized by DFT (PBE) and Cu Kα X-rays.
Lines closer than 0.1° are merged.

Principal peaks in the range 5 to 70 degrees two-theta, low angle first:
Position (°2θ)  I (rel.)
14.36  433
22.82  888
25.09  473
29.00  444
32.46  168
34.10  1000
34.24  494
37.30  173
47.79  187
54.70  372
59.99  207
60.16  433

Structure:
abc: 6.1684 6.1684 8.6788
angles: 90.00 90.00 90.00
Sites, in units of the cell vectors:
1 Li 0.0000 0.2133 0.0000
2 Li 0.0000 0.7867 0.5000
3 Li 0.2133 0.0000 0.2500
4 Li 0.7867 0.0000 0.7500
5 Cu 0.2444 0.2444 0.6250
6 Cu 0.2444 0.7556 0.8750
7 Cu 0.7556 0.2444 0.3750
8 Cu 0.7556 0.7556 0.1250
9 Te 0.2272 0.5000 0.2500
10 Te 0.5000 0.2272 0.0000
11 Te 0.5000 0.7728 0.5000
12 Te 0.7728 0.5000 0.7500
13 O 0.0248 0.2655 0.2493
14 O 0.0248 0.7345 0.2507
15 O 0.2655 0.0248 0.0007
16 O 0.2655 0.9752 0.4993
17 O 0.2686 0.4845 0.0171
18 O 0.2686 0.5155 0.4829
19 O 0.4845 0.2686 0.2329
20 O 0.4845 0.7314 0.2671
21 O 0.5155 0.2686 0.7671
22 O 0.5155 0.7314 0.7329
23 O 0.7314 0.4845 0.9829
24 O 0.7314 0.5155 0.5171
25 O 0.7345 0.0248 0.9993
26 O 0.7345 0.9752 0.5007
27 O 0.9752 0.2655 0.7507
28 O 0.9752 0.7345 0.7493


No. 3
Diffraction record for Li5Ti2Cu5O12. The X-ray powder pattern is theoretical, not measured: it uses a structure optimized by DFT (PBE) and Cu Kα X-rays.
Lines closer than 0.1° are merged.

Principal peaks in the range 5 to 70 degrees two-theta, low angle first:
Position (°2θ)  I (rel.)
9.09  204
18.23  382
20.92  186
21.04  316
21.19  378
33.79  246
36.79  435
36.94  346
37.30  847
45.40  1000
60.16  698
66.99  172

Structure:
abc: 5.0830 5.0830 9.7328
angles: 90.34 90.34 113.34
Sites, in units of the cell vectors:
1 Li 0.0000 0.0000 0.0000
2 Li 0.0533 0.4055 0.2417
3 Li 0.2491 0.2654 0.7579
4 Li 0.5945 0.9467 0.7583
5 Li 0.7346 0.7509 0.2421
6 Ti 0.1580 0.8420 0.5000
7 Ti 0.6698 0.3302 0.0000
8 Cu 0.3251 0.6749 0.0000
9 Cu 0.3941 0.0848 0.2462
10 Cu 0.4892 0.5108 0.5000
11 Cu 0.8258 0.1742 0.5000
12 Cu 0.9152 0.6059 0.7538
13 O 0.0959 0.1011 0.3687
14 O 0.2176 0.5751 0.6265
15 O 0.3418 0.0058 0.9023
16 O 0.3859 0.3998 0.1227
17 O 0.4249 0.7824 0.3735
18 O 0.4873 0.1743 0.5967
19 O 0.6002 0.6141 0.8773
20 O 0.7046 0.0763 0.1349
21 O 0.8257 0.5127 0.4033
22 O 0.8989 0.9041 0.6313
23 O 0.9237 0.2954 0.8651
24 O 0.9942 0.6582 0.0977


No. 4
Diffraction record for Li2TiCuO4. The X-ray powder pattern is theoretical, not measured: it uses a structure optimized by DFT (PBE) and Cu Kα X-rays.
Lines closer than 0.1° are merged.

Principal peaks in the range 5 to 70 degrees two-theta, low angle first:
Position (°2θ)  I (rel.)
24.30  1000
36.76  256
37.32  202
38.79  356
45.51  480
50.96  21
52.25  219
54.50  122
59.87  112
61.29  306
66.32  129
69.25  61

Structure:
abc: 5.4321 5.4321 5.4321
angles: 136.94 136.94 62.52
Sites, in units of the cell vectors:
1 Li 0.0000 0.0000 0.0000
2 Li 0.7500 0.2500 0.5000
3 Ti 0.2500 0.7500 0.5000
4 Cu 0.5000 0.5000 0.0000
5 O 0.0342 0.5342 0.5000
6 O 0.2455 0.2455 0.0000
7 O 0.4658 0.9658 0.5000
8 O 0.7545 0.7545 0.0000